No. 1
The following is a theoretical PXRD pattern of Tb3Pm3Nd8. It was derived from the PBE geometry in Alexandria, using λ = 1.5418 Å (Cu Kα).

Peak list (8 most intense, 10 to 90 degrees two-theta, low angle first)
Position (°2θ)	Rel. int.
27.75	42
29.63	27
30.53	49
31.04	100
31.22	27
31.69	53
32.08	31
53.79	30

Crystal structure
```
data_Tb3Pm3Nd8
_cell_length_a 9.2772
_cell_length_b 9.2772
_cell_length_c 5.9430
_cell_angle_alpha 101.86
_cell_angle_beta 101.86
_cell_angle_gamma 92.26
_symmetry_space_group_name_H-M 'P 1'
_symmetry_Int_Tables_number 1
loop_
_symmetry_equiv_pos_as_xyz
'x,y,z'
loop_
_atom_site_label
_atom_site_fract_x
_atom_site_fract_y
_atom_site_fract_z
Tb1 0.0000 0.0000 0.0000
Tb2 0.1484 0.8516 0.5000
Tb3 0.8516 0.1484 0.5000
Pm1 0.2227 0.2227 0.8210
Pm2 0.5000 0.5000 0.0000
Pm3 0.7773 0.7773 0.1790
Nd1 0.1179 0.6108 0.9123
Nd2 0.2308 0.4725 0.4118
Nd3 0.3892 0.8821 0.0877
Nd4 0.4725 0.2308 0.4118
Nd5 0.5275 0.7692 0.5882
Nd6 0.6108 0.1179 0.9123
Nd7 0.7692 0.5275 0.5882
Nd8 0.8821 0.3892 0.0877
```

=====

No. 2
The following is a theoretical PXRD pattern of Tb3Pm3Nd2. It was derived from the PBE geometry in Alexandria, using λ = 1.5418 Å (Cu Kα).

Peak list (8 most intense, 10 to 90 degrees two-theta, low angle first)
Position (°2θ)	Rel. int.
28.07	24
30.63	25
32.06	100
42.03	16
49.72	13
55.36	21
59.54	15
60.29	11

Crystal structure
```
data_Tb3Pm3Nd2
_cell_length_a 5.8368
_cell_length_b 14.7107
_cell_length_c 6.3465
_cell_angle_alpha 90.00
_cell_angle_beta 90.00
_cell_angle_gamma 90.00
_symmetry_space_group_name_H-M 'P 1'
_symmetry_Int_Tables_number 1
loop_
_symmetry_equiv_pos_as_xyz
'x,y,z'
loop_
_atom_site_label
_atom_site_fract_x
_atom_site_fract_y
_atom_site_fract_z
Tb1 0.2495 0.2500 0.3368
Tb2 0.2500 0.0001 0.3340
Tb3 0.2500 0.4999 0.3340
Tb4 0.7500 0.9999 0.6660
Tb5 0.7500 0.5001 0.6660
Tb6 0.7505 0.7500 0.6632
Pm1 0.2497 0.1245 0.8351
Pm2 0.2497 0.3755 0.8351
Pm3 0.2504 0.7500 0.3309
Pm4 0.7496 0.2500 0.6691
Pm5 0.7503 0.6245 0.1649
Pm6 0.7503 0.8755 0.1649
Nd1 0.2504 0.6246 0.8299
Nd2 0.2504 0.8754 0.8299
Nd3 0.7496 0.1246 0.1701
Nd4 0.7496 0.3754 0.1701
```

=====

No. 3
The following is a theoretical PXRD pattern of Tb4PmNd6. It was derived from the PBE geometry in Alexandria, using λ = 1.5418 Å (Cu Kα).

Peak list (8 most intense, 10 to 90 degrees two-theta, low angle first)
Position (°2θ)	Rel. int.
27.80	31
28.86	67
30.36	40
30.68	100
33.90	74
36.06	27
39.77	42
57.78	29

Crystal structure
```
data_Tb4PmNd6
_cell_length_a 9.9913
_cell_length_b 9.9913
_cell_length_c 9.9913
_cell_angle_alpha 141.39
_cell_angle_beta 141.39
_cell_angle_gamma 55.75
_symmetry_space_group_name_H-M 'P 1'
_symmetry_Int_Tables_number 1
loop_
_symmetry_equiv_pos_as_xyz
'x,y,z'
loop_
_atom_site_label
_atom_site_fract_x
_atom_site_fract_y
_atom_site_fract_z
Tb1 0.0099 0.6371 0.0000
Tb2 0.3629 0.3629 0.3727
Tb3 0.6371 0.0099 0.0000
Tb4 0.9901 0.9901 0.6273
Pm1 0.0000 0.0000 0.0000
Nd1 0.0000 0.5000 0.5000
Nd2 0.1863 0.1863 0.6420
Nd3 0.4558 0.8137 0.0000
Nd4 0.5000 0.0000 0.5000
Nd5 0.5442 0.5442 0.3580
Nd6 0.8137 0.4558 0.0000
```

=====

No. 4
The following is a theoretical PXRD pattern of Tb2Pm3Nd8. It was derived from the PBE geometry in Alexandria, using λ = 1.5418 Å (Cu Kα).

Peak list (8 most intense, 10 to 90 degrees two-theta, low angle first)
Position (°2θ)	Rel. int.
24.55	24
28.95	38
30.23	36
30.74	45
32.77	100
39.73	14
53.53	15
55.96	22

Crystal structure
```
data_Tb2Pm3Nd8
_cell_length_a 11.0034
_cell_length_b 11.0034
_cell_length_c 5.8170
_cell_angle_alpha 90.02
_cell_angle_beta 90.02
_cell_angle_gamma 41.23
_symmetry_space_group_name_H-M 'P 1'
_symmetry_Int_Tables_number 1
loop_
_symmetry_equiv_pos_as_xyz
'x,y,z'
loop_
_atom_site_label
_atom_site_fract_x
_atom_site_fract_y
_atom_site_fract_z
Tb1 0.2412 0.2412 0.4989
Tb2 0.7588 0.7588 0.5011
Pm1 0.0000 0.0000 0.5000
Pm2 0.2872 0.7128 0.0000
Pm3 0.7128 0.2872 0.0000
Nd1 0.1342 0.1342 0.9995
Nd2 0.1854 0.6006 0.4998
Nd3 0.3261 0.3261 0.9991
Nd4 0.3994 0.8146 0.5002
Nd5 0.6006 0.1854 0.4998
Nd6 0.6739 0.6739 0.0009
Nd7 0.8146 0.3994 0.5002
Nd8 0.8658 0.8658 0.0005
```

=====

No. 5
The following is a theoretical PXRD pattern of Tb12PmNd2. It was derived from the PBE geometry in Alexandria, using λ = 1.5418 Å (Cu Kα).

Peak list (8 most intense, 10 to 90 degrees two-theta, low angle first)
Position (°2θ)	Rel. int.
30.00	93
30.15	52
31.04	66
31.71	100
32.13	50
32.33	93
33.23	51
45.77	38

Crystal structure
```
data_Tb12PmNd2
_cell_length_a 6.6751
_cell_length_b 6.6751
_cell_length_c 24.6168
_cell_angle_alpha 92.21
_cell_angle_beta 92.21
_cell_angle_gamma 115.45
_symmetry_space_group_name_H-M 'P 1'
_symmetry_Int_Tables_number 1
loop_
_symmetry_equiv_pos_as_xyz
'x,y,z'
loop_
_atom_site_label
_atom_site_fract_x
_atom_site_fract_y
_atom_site_fract_z
Tb1 0.0513 0.5512 0.2008
Tb2 0.0830 0.5835 0.3307
Tb3 0.1368 0.6382 0.5550
Tb4 0.1424 0.1424 0.5718
Tb5 0.2150 0.2150 0.8637
Tb6 0.2314 0.7313 0.9262
Tb7 0.2687 0.7686 0.0738
Tb8 0.2849 0.2849 0.1363
Tb9 0.3589 0.3589 0.4275
Tb10 0.3618 0.8632 0.4450
Tb11 0.4165 0.9170 0.6693
Tb12 0.4488 0.9487 0.7992
Tb13 0.5512 0.0513 0.2008
Tb14 0.5835 0.0830 0.3307
Tb15 0.6382 0.1368 0.5550
Tb16 0.6411 0.6411 0.5725
Tb17 0.7151 0.7151 0.8637
Tb18 0.7313 0.2314 0.9262
Tb19 0.7686 0.2687 0.0738
Tb20 0.7850 0.7850 0.1363
Tb21 0.8576 0.8576 0.4282
Tb22 0.8632 0.3618 0.4450
Tb23 0.9170 0.4165 0.6693
Tb24 0.9487 0.4488 0.7992
Pm1 0.2499 0.2499 0.0000
Pm2 0.7501 0.7501 0.0000
Nd1 0.0697 0.0697 0.2732
Nd2 0.4310 0.4310 0.7271
Nd3 0.5690 0.5690 0.2729
Nd4 0.9303 0.9303 0.7268
```

=====

No. 6
The following is a theoretical PXRD pattern of Tb2Pm2Nd7. It was derived from the PBE geometry in Alexandria, using λ = 1.5418 Å (Cu Kα).

Peak list (8 most intense, 10 to 90 degrees two-theta, low angle first)
Position (°2θ)	Rel. int.
27.92	23
30.28	25
31.84	100
41.65	16
49.39	20
54.79	21
59.97	16
81.29	14

Crystal structure
```
data_Tb2Pm2Nd7
_cell_length_a 8.7054
_cell_length_b 8.7054
_cell_length_c 15.8945
_cell_angle_alpha 109.84
_cell_angle_beta 109.84
_cell_angle_gamma 43.07
_symmetry_space_group_name_H-M 'P 1'
_symmetry_Int_Tables_number 1
loop_
_symmetry_equiv_pos_as_xyz
'x,y,z'
loop_
_atom_site_label
_atom_site_fract_x
_atom_site_fract_y
_atom_site_fract_z
Tb1 0.0612 0.3939 0.2952
Tb2 0.3939 0.0612 0.7952
Tb3 0.6061 0.9388 0.2048
Tb4 0.9388 0.6061 0.7048
Pm1 0.0290 0.6955 0.5223
Pm2 0.3045 0.9710 0.9777
Pm3 0.6955 0.0290 0.0223
Pm4 0.9710 0.3045 0.4777
Nd1 0.1188 0.7872 0.3407
Nd2 0.1520 0.4832 0.1145
Nd3 0.2128 0.8812 0.1593
Nd4 0.2420 0.5735 0.9308
Nd5 0.3317 0.6683 0.7500
Nd6 0.4265 0.7580 0.5692
Nd7 0.4832 0.1520 0.6145
Nd8 0.5168 0.8480 0.3855
Nd9 0.5735 0.2420 0.4308
Nd10 0.6683 0.3317 0.2500
Nd11 0.7580 0.4265 0.0692
Nd12 0.7872 0.1188 0.8407
Nd13 0.8480 0.5168 0.8855
Nd14 0.8812 0.2128 0.6593
```